# KTaH2Se4
Simulated powder diffraction line list, Cu Kα. Input: DFT lattice parameters and positions (PBE).
Neutral-atom scattering factors, no anomalous dispersion.

Peak list (10 most intense, 2θ from 10° to 90°, low angle first)
d/Å, 2theta, I_rel, index
6.188, 14.3, 100.0, 0 2 1
5.678, 15.6, 48.2, 1 1 0
5.182, 17.1, 54.7, 0 4 0
4.482, 19.8, 37.8, 1 1 1
3.942, 22.6, 38.8, 1 3 -1
3.393, 26.3, 50.8, 1 5 0
3.260, 27.4, 31.2, 1 1 -2
3.125, 28.6, 32.1, 1 1 2
2.516, 35.7, 24.5, 1 5 2
2.177, 41.5, 43.9, 2 6 -1

Atomic structure:
a = 5.911 Å, b = 20.730 Å, c = 7.722 Å
α = 90.00°, β = 92.71°, γ = 90.00°
Space group Cc (No. 9)
Unique sites:
K: 0.000 0.132 0.000
Ta: 0.264 0.115 0.470
H: 0.295 0.323 0.912
H: 0.369 0.036 0.798
Se: 0.011 0.212 0.482
Se: 0.016 0.369 0.745
Se: 0.028 0.028 0.401
Se: 0.486 0.099 0.753


# ScFe6Ge4
Simulated powder diffraction line list, Cu Kα. Input: DFT lattice parameters and positions (PBE).
Neutral-atom scattering factors, no anomalous dispersion.

Peak list (10 most intense, 2θ from 10° to 90°, low angle first)
d/Å, 2theta, I_rel, index
2.521, 35.6, 46.8, 1 1 0
2.222, 40.6, 64.9, 0 0 9
2.170, 41.6, 72.8, 0 2 1
2.010, 45.1, 94.5, 1 1 6
2.001, 45.3, 100.0, 0 2 4
1.916, 47.4, 83.7, 2 0 5
1.334, 70.6, 23.3, 3 0 6
1.260, 75.4, 43.4, 2 2 0
1.178, 81.7, 31.2, 1 1 15
1.096, 89.4, 36.2, 2 2 9

Atomic structure:
a = 5.0413 Å, b = 5.0413 Å, c = 19.9947 Å
α = 90.00°, β = 90.00°, γ = 120.00°
Space group R-3m (No. 166, hexagonal axes)
Unique sites:
Sc: 0.0000 0.0000 0.0000
Fe: 0.0070 0.5035 0.1022
Ge: 0.0000 0.0000 0.1320
Ge: 0.0000 0.0000 0.3327


# AlHgAsO
Simulated powder diffraction line list, Cu Kα. Input: DFT lattice parameters and positions (PBE).
Neutral-atom scattering factors, no anomalous dispersion.

Peak list (10 most intense, 2θ from 10° to 90°, low angle first)
d/Å, 2theta, I_rel, index
4.387, 20.2, 37.0, 0 1 1
4.118, 21.6, 100.0, 1 0 0
3.559, 25.0, 97.3, 0 2 0
3.000, 29.8, 78.0, 0 2 1
2.789, 32.1, 60.4, 0 0 2
2.690, 33.3, 47.6, 1 2 0
2.309, 39.0, 55.6, 1 0 2
2.195, 41.1, 45.3, 0 2 2
2.053, 44.1, 44.1, 1 3 0
1.653, 55.6, 41.7, 1 3 2

Atomic structure:
a = 4.118 Å, b = 7.104 Å, c = 5.577 Å
α = 90.00°, β = 90.00°, γ = 90.00°
Space group Pmc2_1 (No. 26)
Unique sites:
Al: 0.000 0.116 0.000
Hg: 0.500 0.326 0.422
As: 0.500 0.297 0.897
O: 0.000 0.081 0.312